Structure and computed powder XRD pattern of Ti2ZnPd9 (DFT lattice parameters and positions (GGA-PBE); λ = 1.5418 Å (Cu Kα)).

```
Ti2ZnPd9
1.0
3.9295 0.0000 0.0000
0.0000 3.9295 0.0000
0.0000 0.0000 11.7285
Ti Zn Pd
2 1 9
Direct
0.0000 0.0000 0.1727
0.0000 0.0000 0.8273
0.0000 0.0000 0.5000
0.0000 0.5000 0.0000
0.0000 0.5000 0.3303
0.0000 0.5000 0.6697
0.5000 0.0000 0.0000
0.5000 0.0000 0.3303
0.5000 0.0000 0.6697
0.5000 0.5000 0.1649
0.5000 0.5000 0.5000
0.5000 0.5000 0.8351
```

Main lines, in order of rising 2θ (2θ from 10° to 80°):
| h k l | two_theta | d (Å) | I_rel |
| --- | --- | --- | --- |
| 1 0 0 | 22.63 | 3.929 | 4 |
| 0 0 3 | 22.75 | 3.909 | 2 |
| 1 0 3 | 32.27 | 2.774 | 5 |
| 1 1 3 | 39.80 | 2.265 | 100 |
| 2 0 0 | 46.21 | 1.965 | 32 |
| 0 0 6 | 46.46 | 1.955 | 16 |
| 2 1 0 | 52.07 | 1.756 | 2 |
| 2 1 3 | 57.50 | 1.603 | 1 |
| 2 2 0 | 67.41 | 1.389 | 10 |
| 2 0 6 | 67.60 | 1.386 | 20 |